[1]
Ni3BF: computed X-ray diffraction stick pattern (CuKα), based on DFT lattice parameters and positions (GGA+U).
No peak broadening, texture or thermal motion is included.

```
Ni3BF
1.0
3.944 0.000 0.000
0.000 3.944 0.000
0.000 0.000 3.944
Ni B F
3 1 1
Direct
0.000 0.000 0.500
0.000 0.500 0.000
0.500 0.000 0.000
0.500 0.500 0.500
0.000 0.000 0.000
```

The 10 most intense peaks (10° ≤ 2θ ≤ 90°), by intensity:
2θ/deg, I/Imax
39.58, 100
46.02, 69
22.54, 58
67.12, 40
80.82, 33
51.83, 22
85.23, 13
32.09, 11
71.80, 9
57.21, 5

***

[2]
RbNiB2F8: computed X-ray diffraction stick pattern (CuKα), based on DFT lattice parameters and positions (GGA+U).
No peak broadening, texture or thermal motion is included.

```
RbNiB2F8
1.0
2.525 1.458 7.663
-2.525 1.458 7.663
0.000 -2.916 7.663
Rb Ni B F
1 1 2 8
Direct
0.000 0.000 0.000
0.500 0.500 0.500
0.244 0.244 0.244
0.756 0.756 0.756
0.046 0.513 0.767
0.233 0.954 0.487
0.306 0.306 0.306
0.487 0.233 0.954
0.513 0.767 0.046
0.694 0.694 0.694
0.767 0.046 0.513
0.954 0.487 0.233
```

The 10 most intense peaks (10° ≤ 2θ ≤ 90°), by intensity:
2θ/deg, I/Imax
25.59, 100
42.89, 44
37.48, 36
35.55, 26
21.74, 17
44.53, 15
60.68, 12
42.06, 12
58.06, 11
63.85, 11